Structure and calculated X-ray diffraction stick pattern of SmSO4 (the GGA-PBE geometry in the Materials Project; Cu Ka).
Intensities are scaled so that the largest is 100.

Main lines, by intensity (10° ≤ 2θ ≤ 90°):
| d [Å] | I (rel.) |
| --- | --- |
| 3.307 | 100 |
| 2.969 | 56 |
| 2.942 | 56 |
| 2.747 | 56 |
| 3.877 | 54 |
| 3.106 | 48 |
| 2.136 | 45 |
| 4.433 | 44 |
| 2.030 | 40 |
| 2.236 | 40 |

Crystal structure
abc: 7.997 5.885 6.741
angles: 90.00 90.00 90.00
Element x y z (fractional)
1 Sm 0.170 0.250 0.152
2 Sm 0.330 0.750 0.652
3 Sm 0.670 0.250 0.348
4 Sm 0.830 0.750 0.848
5 S 0.055 0.250 0.673
6 S 0.445 0.750 0.173
7 S 0.555 0.250 0.827
8 S 0.945 0.750 0.327
9 O 0.080 0.039 0.800
10 O 0.080 0.461 0.800
11 O 0.117 0.750 0.408
12 O 0.182 0.250 0.512
13 O 0.318 0.750 0.012
14 O 0.383 0.250 0.908
15 O 0.420 0.539 0.300
16 O 0.420 0.961 0.300
17 O 0.580 0.039 0.700
18 O 0.580 0.461 0.700
19 O 0.617 0.750 0.092
20 O 0.682 0.250 0.988
21 O 0.818 0.750 0.488
22 O 0.883 0.250 0.592
23 O 0.920 0.539 0.200
24 O 0.920 0.961 0.200